# Li3Co2Ge2O8
Theoretical powder diffraction line list, Cu Kα. Input: DFT lattice parameters and positions (PBE+U).

Crystal structure
```
Li3Co2Ge2O8
1.0
5.1152 0.0000 0.0000
-0.0302 5.4696 0.0000
-0.0118 -0.0694 6.5669
Li Co Ge O
3 2 2 8
direct
0.0000 0.0000 0.0000
0.9996 0.4976 0.7502
0.4999 0.8387 0.2521
0.0025 0.4957 0.2652
0.4985 0.8326 0.7549
0.0182 0.9888 0.5018
0.4910 0.3395 0.0051
0.3562 0.9504 0.5002
0.3630 0.4981 0.2227
0.3817 0.4952 0.7907
0.3945 0.0277 0.0042
0.8455 0.3552 0.0247
0.8903 0.8565 0.7274
0.8969 0.8299 0.2728
0.9294 0.3041 0.4870
```

Largest 10 diffraction maxima, by angle, 5° ≤ 2θ ≤ 70°:
two_theta	Rel. int.
21.03	42.8
21.25	38.6
22.03	100.0
31.63	17.5
31.94	18.6
32.75	23.2
35.09	36.4
36.29	23.9
56.01	12.8
63.74	17.1